Theoretical X-ray powder pattern
Compound: Pm6Si6Pb
Radiation: λ = 1.5418 Å (Cu Kα)
Structure: a cell relaxed with GGA-PBE
Neutral-atom scattering factors, no anomalous dispersion.

Most intense lines, 10 to 90 degrees two-theta, sorted by position:
h k l, two_theta, d (Å), Rel. int.
1 2 1, 24.69, 3.606, 20
0 3 1, 28.21, 3.164, 17
2 0 0, 29.58, 3.020, 100
2 2 0, 34.74, 2.582, 48
0 4 0, 36.08, 2.489, 20
0 2 4, 38.90, 2.315, 21
2 4 0, 47.32, 1.921, 33
3 0 3, 52.48, 1.744, 20
4 0 0, 61.40, 1.510, 19
2 6 0, 64.02, 1.454, 20

Atomic structure:
```
data_Pm6Si6Pb
_cell_length_a 6.043
_cell_length_b 9.958
_cell_length_c 10.458
_cell_angle_alpha 90.00
_cell_angle_beta 90.00
_cell_angle_gamma 90.00
_space_group_name_H-M_alt 'I m m m'
_space_group_IT_number 71
_space_group_name_Hall '-I 2 2'
loop_
_atom_site_label
_atom_site_fract_x
_atom_site_fract_y
_atom_site_fract_z
Pm1 0.000 0.000 0.159
Pm2 0.000 0.196 0.500
Pm3 0.000 0.500 0.173
Si1 0.000 0.258 0.000
Si2 0.250 0.250 0.250
Pb1 0.000 0.500 0.500
```